# 1
# RbHg8Au2
Simulated PXRD pattern, a wavelength of 1.5418 Å. Input: a PBE-relaxed structure.
No peak broadening, texture or thermal motion is included.

Structural model:
Cell lengths 6.4540, 6.4540, 9.7414 Å; angles 90.00, 90.00, 90.00 degrees
Fractional coordinates of all 11 atoms:
Rb1 0.0000 0.0000 0.0000
Hg1 0.2522 0.2522 0.3040
Hg2 0.2522 0.2522 0.6960
Hg3 0.2522 0.7478 0.3040
Hg4 0.2522 0.7478 0.6960
Hg5 0.7478 0.2522 0.3040
Hg6 0.7478 0.2522 0.6960
Hg7 0.7478 0.7478 0.3040
Hg8 0.7478 0.7478 0.6960
Au1 0.0000 0.5000 0.5000
Au2 0.5000 0.0000 0.5000

Peak list (12 most intense, 2θ from 10° to 90°, most intense first)
| d (Å) | Rel. int. |
| --- | --- |
| 2.690 | 100 |
| 2.289 | 60 |
| 2.282 | 46 |
| 3.227 | 33 |
| 1.384 | 26 |
| 4.133 | 23 |
| 1.319 | 22 |
| 4.871 | 21 |
| 1.482 | 20 |
| 1.667 | 19 |
| 1.614 | 16 |
| 3.247 | 15 |


# 2
# Tb7Er2Sc2
Simulated PXRD pattern, a wavelength of 1.5418 Å. Input: a PBE-relaxed structure.
No peak broadening, texture or thermal motion is included.

Structural model:
Cell lengths 10.3584, 10.3584, 10.3584 Å; angles 160.31, 70.67, 112.92 degrees
Fractional coordinates of all 11 atoms:
Tb1 0.0000 0.0000 0.0000
Tb2 0.1877 0.5188 0.6689
Tb3 0.3236 0.9880 0.3356
Tb4 0.5534 0.7527 0.8007
Tb5 0.6525 0.9880 0.6644
Tb6 0.8500 0.5188 0.3311
Tb7 0.9519 0.7527 0.1993
Er1 0.4810 0.4810 0.0000
Er2 0.7358 0.2358 0.5000
Sc1 0.1332 0.2489 0.8843
Sc2 0.3645 0.2489 0.1157

Peak list (12 most intense, 2θ from 10° to 90°, most intense first)
| d (Å) | Rel. int. |
| --- | --- |
| 2.656 | 100 |
| 2.862 | 32 |
| 2.529 | 22 |
| 2.817 | 21 |
| 3.141 | 18 |
| 1.610 | 18 |
| 2.007 | 14 |
| 3.242 | 11 |
| 5.723 | 11 |
| 1.506 | 10 |
| 1.593 | 9 |
| 1.133 | 9 |